Calculated powder diffraction line list of Li2Hg2Pd3 for Cu Kα X-rays, from the PBE geometry in Alexandria.

Main lines, in order of rising 2θ (2θ from 15° to 90°):
| two_theta | d/Å | I (rel.) | index |
| --- | --- | --- | --- |
| 23.57 | 3.774 | 96 | 1 1 0 |
| 37.59 | 2.393 | 25 | 0 1 2 |
| 40.75 | 2.214 | 100 | 2 1 1 |
| 41.13 | 2.195 | 26 | 1 0 -2 |
| 41.31 | 2.185 | 26 | 1 1 3 |
| 41.48 | 2.177 | 25 | 0 1 -3 |

Crystal structure
Cell: 4.4264 4.4271 7.5194 Å, 89.74 73.15 60.06°
Space group P-1 (No. 2)
Unique sites:
Li: 0.2218 0.3909 0.1630 x2
Hg: 0.2594 0.8685 0.6122 x2
Pd: 0.0000 0.0000 0.0000 x1
Pd: 0.4715 0.2619 0.7969 x2

Calculated powder diffraction line list of Er4CSe3 for Cu Kα X-rays, from the PBE geometry in Alexandria.

Main lines, in order of rising 2θ (2θ from 15° to 90°):
| two_theta | d/Å | I (rel.) | index |
| --- | --- | --- | --- |
| 22.74 | 3.910 | 100 | 2 1 0 |
| 27.86 | 3.202 | 57 | 2 1 1 |
| 32.07 | 2.791 | 76 | 0 0 2 |
| 37.87 | 2.376 | 54 | 2 3 0 |
| 39.68 | 2.271 | 46 | 2 1 2 |
| 50.45 | 1.809 | 47 | 2 3 2 |

Crystal structure
Cell: 8.8180 8.4610 5.5815 Å, 90.00 90.00 90.00°
Space group Pmn2_1 (No. 31)
Unique sites:
Er: 0.0000 0.0842 0.0000 x2
Er: 0.0000 0.8168 0.5230 x2
Er: 0.2240 0.6864 0.0048 x4
C: 0.0000 0.8143 0.9573 x2
Se: 0.0000 0.1386 0.5040 x2
Se: 0.2223 0.3460 0.0074 x4

Calculated powder diffraction line list of Cd4ReMo for Cu Kα X-rays, from the PBE geometry in Alexandria.

Main lines, in order of rising 2θ (2θ from 15° to 90°):
| two_theta | d/Å | I (rel.) | index |
| --- | --- | --- | --- |
| 33.10 | 2.706 | 33 | 2 2 0 |
| 39.03 | 2.308 | 100 | 3 1 1 |
| 40.84 | 2.210 | 34 | 2 2 2 |
| 59.13 | 1.563 | 12 | 4 2 2 |
| 63.11 | 1.473 | 31 | 5 1 1 |
| 69.46 | 1.353 | 26 | 4 4 0 |

Crystal structure
Cell: 7.6548 7.6548 7.6548 Å, 90.00 90.00 90.00°
Space group F-43m (No. 216)
Unique sites:
Cd: 0.1251 0.1251 0.1251 x16
Re: 0.0000 0.0000 0.5000 x4
Mo: 0.2500 0.2500 0.7500 x4

Calculated powder diffraction line list of Sm3Bi2H2 for Cu Kα X-rays, from the PBE geometry in Alexandria.

Main lines, in order of rising 2θ (2θ from 15° to 90°):
| two_theta | d/Å | I (rel.) | index |
| --- | --- | --- | --- |
| 26.44 | 3.371 | 21 | 1 1 -2 |
| 30.65 | 2.916 | 100 | 2 1 -1 |
| 31.32 | 2.856 | 46 | 1 0 2 |
| 35.44 | 2.533 | 45 | 1 1 -3 |
| 35.84 | 2.505 | 24 | 1 2 1 |
| 51.89 | 1.762 | 19 | 3 0 -4 |

Crystal structure
Cell: 6.6009 6.2797 8.3233 Å, 90.00 111.02 90.00°
Space group P2_1/c (No. 14)
Unique sites:
Sm: 0.0000 0.0000 0.0000 x2
Sm: 0.3712 0.1315 0.7893 x4
Bi: 0.2157 0.5967 0.8979 x4
H: 0.3556 0.1082 0.0687 x4

Calculated powder diffraction line list of Be3V3C for Cu Kα X-rays, from the PBE geometry in Alexandria.

Main lines, in order of rising 2θ (2θ from 15° to 90°):
| two_theta | d/Å | I (rel.) | index |
| --- | --- | --- | --- |
| 34.19 | 2.623 | 46 | 4 0 0 |
| 37.37 | 2.407 | 46 | 3 3 1 |
| 42.20 | 2.141 | 79 | 4 2 2 |
| 44.90 | 2.019 | 100 | 3 3 3 |
| 63.31 | 1.469 | 26 | 5 5 1 |
| 77.16 | 1.236 | 52 | 6 6 0 |

Crystal structure
Cell: 10.4900 10.4900 10.4900 Å, 90.00 90.00 90.00°
Space group Fd-3m (No. 227, origin choice 2)
Unique sites:
Be: 0.0000 0.0000 0.0000 x16
Be: 0.0464 0.0464 0.2036 x32
V: 0.0639 0.3750 0.8750 x48
C: 0.0000 0.0000 0.5000 x16

Calculated powder diffraction line list of KSnAu for Cu Kα X-rays, from the PBE geometry in Alexandria.

Main lines, in order of rising 2θ (2θ from 15° to 90°):
| two_theta | d/Å | I (rel.) | index |
| --- | --- | --- | --- |
| 18.12 | 4.896 | 81 | 0 0 1 |
| 21.61 | 4.112 | 38 | 1 0 0 |
| 28.34 | 3.149 | 100 | 1 0 1 |
| 37.90 | 2.374 | 67 | 1 1 0 |
| 42.31 | 2.136 | 61 | 1 1 1 |
| 53.79 | 1.704 | 49 | 1 1 2 |

Crystal structure
Cell: 4.7480 4.7480 4.8960 Å, 90.00 90.00 120.00°
Space group P-6m2 (No. 187)
Unique sites:
K: 0.0000 0.0000 0.0000 x1
Sn: 0.6667 0.3333 0.5000 x1
Au: 0.3333 0.6667 0.5000 x1

Calculated powder diffraction line list of K6Mn3I14 for Cu Kα X-rays, from the PBE geometry in Alexandria.

Main lines, in order of rising 2θ (2θ from 15° to 90°):
| two_theta | d/Å | I (rel.) | index |
| --- | --- | --- | --- |
| 24.60 | 3.618 | 100 | 1 2 1 |
| 27.26 | 3.272 | 43 | 3 0 1 |
| 31.94 | 2.802 | 27 | 4 -3 1 |
| 38.00 | 2.368 | 23 | 4 1 0 |
| 41.58 | 2.172 | 20 | 3 -1 3 |
| 43.32 | 2.088 | 20 | 3 3 0 |

Crystal structure
Cell: 12.5259 12.5259 7.6827 Å, 90.00 90.00 120.00°
Space group P3 (No. 143)
Unique sites:
K: 0.0542 0.5825 0.0000 x3
K: 0.2843 0.0920 0.5333 x3
Mn: 0.0000 0.0000 0.9393 x1
Mn: 0.3333 0.6667 0.4213 x1
Mn: 0.6667 0.3333 0.7884 x1
I: 0.0000 0.0000 0.2903 x1
I: 0.0813 0.8536 0.8065 x3
I: 0.1707 0.4407 0.2944 x3
I: 0.3333 0.6667 0.7725 x1
I: 0.4648 0.2010 0.9889 x3
I: 0.5392 0.4088 0.5833 x3

Calculated powder diffraction line list of KMnPt for Cu Kα X-rays, from the PBE geometry in Alexandria.

Main lines, in order of rising 2θ (2θ from 15° to 90°):
| two_theta | d/Å | I (rel.) | index |
| --- | --- | --- | --- |
| 26.64 | 3.346 | 94 | 0 1 2 |
| 28.37 | 3.146 | 52 | 0 0 4 |
| 36.51 | 2.461 | 35 | 0 1 -4 |
| 37.22 | 2.416 | 100 | 1 1 0 |
| 37.92 | 2.373 | 54 | 1 1 1 |
| 42.59 | 2.123 | 32 | 0 1 5 |

Crystal structure
Cell: 3.0535 3.9509 12.5833 Å, 89.94 89.62 89.99°
Space group P1 (No. 1)
Unique sites:
K: 0.0000 0.0000 0.0000 x1
K: 0.4772 0.4990 0.6641 x1
Mn: 0.4864 0.4964 0.4004 x1
Mn: 0.9907 0.9966 0.2640 x1
Pt: 0.4932 0.4970 0.1917 x1
Pt: 0.9840 0.9966 0.4726 x1

Calculated powder diffraction line list of LaZnCu2Ni for Cu Kα X-rays, from the PBE geometry in Alexandria.

Main lines, in order of rising 2θ (2θ from 15° to 90°):
| two_theta | d/Å | I (rel.) | index |
| --- | --- | --- | --- |
| 32.13 | 2.786 | 21 | 0 0 4 |
| 33.06 | 2.709 | 28 | 0 1 3 |
| 33.24 | 2.696 | 29 | 1 0 3 |
| 36.03 | 2.493 | 100 | 1 1 2 |
| 45.78 | 1.982 | 23 | 0 2 0 |
| 46.30 | 1.961 | 23 | 2 0 0 |

Crystal structure
Cell: 3.9219 3.9640 11.1340 Å, 90.00 90.00 90.00°
Space group Imm2 (No. 44)
Unique sites:
La: 0.0000 0.0000 0.0000 x2
Zn: 0.0000 0.5000 0.7594 x2
Cu: 0.0000 0.0000 0.6197 x2
Cu: 0.0000 0.5000 0.2613 x2
Ni: 0.0000 0.0000 0.3986 x2

Calculated powder diffraction line list of NpTiAs2N for Cu Kα X-rays, from the PBE geometry in Alexandria.

Main lines, in order of rising 2θ (2θ from 15° to 90°):
| two_theta | d/Å | I (rel.) | index |
| --- | --- | --- | --- |
| 27.86 | 3.203 | 51 | 0 0 4 |
| 32.01 | 2.796 | 100 | 1 0 3 |
| 34.26 | 2.618 | 83 | 1 1 0 |
| 37.14 | 2.421 | 47 | 1 0 4 |
| 49.23 | 1.851 | 37 | 2 0 0 |
| 59.93 | 1.543 | 35 | 2 1 3 |

Crystal structure
Cell: 3.7020 3.7020 12.7999 Å, 90.00 90.00 90.00°
Space group P4/nmm (No. 129, origin choice 2)
Unique sites:
Np: 0.2500 0.2500 0.0944 x2
Ti: 0.2500 0.2500 0.5889 x2
As: 0.2500 0.2500 0.3836 x2
As: 0.2500 0.2500 0.7895 x2
N: 0.2500 0.7500 0.0000 x2

Calculated powder diffraction line list of Ti6BC2 for Cu Kα X-rays, from the PBE geometry in Alexandria.

Main lines, in order of rising 2θ (2θ from 15° to 90°):
| two_theta | d/Å | I (rel.) | index |
| --- | --- | --- | --- |
| 35.36 | 2.538 | 37 | 2 0 0 |
| 37.67 | 2.388 | 100 | 1 1 3 |
| 39.70 | 2.270 | 32 | 2 1 0 |
| 50.88 | 1.795 | 13 | 2 2 0 |
| 62.05 | 1.496 | 19 | 3 0 3 |
| 65.01 | 1.435 | 13 | 3 1 3 |

Crystal structure
Cell: 5.0762 5.0762 9.5951 Å, 90.00 90.00 90.00°
Space group P4_2/mnm (No. 136)
Unique sites:
Ti: 0.1958 0.1958 0.0000 x4
Ti: 0.2030 0.2030 0.3264 x8
B: 0.0000 0.0000 0.5000 x2
C: 0.0000 0.0000 0.1650 x4

Calculated powder diffraction line list of Mg14NbNi for Cu Kα X-rays, from the PBE geometry in Alexandria.

Main lines, in order of rising 2θ (2θ from 15° to 90°):
| two_theta | d/Å | I (rel.) | index |
| --- | --- | --- | --- |
| 16.38 | 5.413 | 29 | 1 0 0 |
| 33.10 | 2.706 | 28 | 2 0 0 |
| 36.55 | 2.458 | 24 | 0 0 4 |
| 37.95 | 2.371 | 100 | 2 0 2 |
| 66.72 | 1.402 | 17 | 2 0 6 |
| 71.55 | 1.319 | 18 | 2 2 4 |

Crystal structure
Cell: 6.2500 6.2500 9.8338 Å, 90.00 90.00 120.00°
Space group P-6m2 (No. 187)
Unique sites:
Mg: 0.0000 0.0000 0.2423 x2
Mg: 0.0186 0.5093 0.2571 x6
Mg: 0.3295 0.1647 0.5000 x3
Mg: 0.3414 0.1707 0.0000 x3
Nb: 0.3333 0.6667 0.0000 x1
Ni: 0.3333 0.6667 0.5000 x1